# 1
Simulated powder diffraction line list
Compound: BaY6Si3B6O24F2
Radiation: copper Kα
Structure: the PBE geometry in the Materials Project

Cell and atoms:
abc: 10.737 10.737 4.750
angles: 90.00 90.00 120.00
Fractional positions:
Ba 0.000 0.000 0.000
Y 0.215 0.430 0.950
Y 0.215 0.785 0.950
Y 0.431 0.216 0.996
Y 0.570 0.785 0.950
Y 0.784 0.216 0.996
Y 0.784 0.569 0.996
Si 0.014 0.507 0.396
Si 0.493 0.507 0.396
Si 0.493 0.986 0.396
B 0.000 0.251 0.478
B 0.000 0.749 0.478
B 0.251 0.000 0.478
B 0.251 0.251 0.478
B 0.749 0.000 0.478
B 0.749 0.749 0.478
O 0.002 0.263 0.177
O 0.002 0.739 0.177
O 0.025 0.392 0.618
O 0.025 0.633 0.618
O 0.112 0.223 0.600
O 0.112 0.888 0.600
O 0.148 0.574 0.178
O 0.261 0.263 0.177
O 0.261 0.998 0.177
O 0.287 0.143 0.593
O 0.367 0.392 0.618
O 0.367 0.975 0.618
O 0.426 0.574 0.178
O 0.426 0.852 0.178
O 0.569 0.139 0.225
O 0.569 0.431 0.225
O 0.608 0.633 0.618
O 0.608 0.975 0.618
O 0.737 0.739 0.177
O 0.737 0.998 0.177
O 0.777 0.888 0.600
O 0.857 0.143 0.593
O 0.857 0.713 0.593
O 0.861 0.431 0.225
F 0.333 0.667 0.744
F 0.667 0.333 0.793

Most intense lines, 2θ from 10° to 90°, low angle first:
18.68°, rel. 26.2; 25.34°, rel. 35.1; 31.67°, rel. 100.0; 46.13°, rel. 29.1; 51.04°, rel. 15.9; 54.82°, rel. 17.5



# 2
Simulated powder diffraction line list
Compound: Ba3Sr4B3O9F5
Radiation: copper Kα
Structure: the PBE geometry in the Materials Project

Cell and atoms:
abc: 10.899 10.899 7.080
angles: 90.00 90.00 120.00
Fractional positions:
Ba 0.138 0.276 0.000
Ba 0.138 0.862 0.000
Ba 0.276 0.138 0.500
Ba 0.724 0.862 0.000
Ba 0.862 0.138 0.500
Ba 0.862 0.724 0.500
Sr 0.070 0.535 0.343
Sr 0.333 0.667 0.772
Sr 0.465 0.535 0.343
Sr 0.465 0.930 0.343
Sr 0.535 0.070 0.843
Sr 0.535 0.465 0.843
Sr 0.667 0.333 0.272
Sr 0.930 0.465 0.843
B 0.188 0.375 0.562
B 0.188 0.812 0.562
B 0.375 0.188 0.062
B 0.625 0.812 0.562
B 0.812 0.188 0.062
B 0.812 0.625 0.062
O 0.091 0.402 0.655
O 0.091 0.689 0.655
O 0.161 0.322 0.379
O 0.161 0.839 0.379
O 0.311 0.402 0.655
O 0.311 0.909 0.655
O 0.322 0.161 0.879
O 0.402 0.091 0.155
O 0.402 0.311 0.155
O 0.598 0.689 0.655
O 0.598 0.909 0.655
O 0.678 0.839 0.379
O 0.689 0.091 0.155
O 0.689 0.598 0.155
O 0.839 0.161 0.879
O 0.839 0.678 0.879
O 0.909 0.311 0.155
O 0.909 0.598 0.155
F 0.000 0.000 0.133
F 0.000 0.000 0.633
F 0.155 0.578 0.018
F 0.333 0.667 0.420
F 0.422 0.578 0.018
F 0.422 0.845 0.018
F 0.578 0.155 0.518
F 0.578 0.422 0.518
F 0.667 0.333 0.920
F 0.845 0.422 0.518

Most intense lines, 2θ from 10° to 90°, low angle first:
22.64°, rel. 59.4; 28.01°, rel. 100.0; 31.11°, rel. 41.7; 32.87°, rel. 68.2; 48.20°, rel. 45.7; 49.33°, rel. 46.3